For InGeAs, a crystal structure in Alexandria, relaxed with GGA-PBE gives the calculated PXRD pattern in this record (copper Kα).

Structural model:
Cell: 3.891 3.891 5.424 Å, 90.00 90.00 120.00°
Positions (direct):
In  0.000  0.000  0.000
Ge  0.333  0.667  0.612
As  0.667  0.333  0.371

Largest 10 diffraction maxima, sorted by position, 2θ from 5° to 70°:
Position (°2θ)  Rel. int.  h k l
26.45  3  1 0 0
31.25  100  1 0 1
33.03  6  0 0 2
42.80  33  0 1 2
46.68  31  1 1 0
50.47  5  0 0 3
57.25  17  0 2 1
57.87  7  1 0 3
58.37  7  1 1 2
65.18  9  2 0 2